This entry pairs a crystal structure of ScHRhCl2 with its computed XRD peak list. Radiation: Cu Kα, 1.54184 Å. Structure: DFT lattice parameters and positions (GGA-PBE).
Kinematic intensities with the Lorentz-polarization factor, no thermal factor.

Largest 6 diffraction maxima, most intense first, 5 to 70 degrees two-theta:
4.711 Å, I = 100
4.940 Å, I = 45
2.356 Å, I = 35
2.188 Å, I = 25
1.705 Å, I = 24
2.107 Å, I = 23

Crystal structure
```
data_ScHRhCl2
_chemical_formula_sum 'Sc1 H1 Rh1 Cl2'
_symmetry_space_group_name_H-M 'P 1'
_symmetry_Int_Tables_number 1
_symmetry_space_group_name_Hall 'P 1'
_cell_length_a 4.711
_cell_length_b 4.711
_cell_length_c 4.940
_cell_angle_alpha 90.00
_cell_angle_beta 90.00
_cell_angle_gamma 90.00
loop_
_atom_site_label
_atom_site_type_symbol
_atom_site_fract_x
_atom_site_fract_y
_atom_site_fract_z
Sc1 Sc 0.000 0.000 0.000
H1 H 0.500 0.500 0.000
Rh1 Rh 0.000 0.000 0.500
Cl1 Cl 0.000 0.500 0.500
Cl2 Cl 0.500 0.000 0.500
```


This entry pairs a crystal structure of H2RuCl6 with its computed XRD peak list. Radiation: Cu Kα, 1.54184 Å. Structure: DFT lattice parameters and positions (GGA-PBE).
Kinematic intensities with the Lorentz-polarization factor, no thermal factor.

Largest 6 diffraction maxima, most intense first, 5 to 70 degrees two-theta:
9.203 Å, I = 100
7.051 Å, I = 44
2.786 Å, I = 34
4.384 Å, I = 22
4.274 Å, I = 20
2.699 Å, I = 16

Crystal structure
```
data_H2RuCl6
_chemical_formula_sum 'H4 Ru2 Cl12'
_symmetry_space_group_name_H-M 'P 1'
_symmetry_Int_Tables_number 1
_symmetry_space_group_name_Hall 'P 1'
_cell_length_a 9.319
_cell_length_b 9.319
_cell_length_c 6.032
_cell_angle_alpha 93.06
_cell_angle_beta 93.06
_cell_angle_gamma 81.34
loop_
_atom_site_label
_atom_site_type_symbol
_atom_site_fract_x
_atom_site_fract_y
_atom_site_fract_z
H1 H 0.107 0.154 0.275
H2 H 0.154 0.107 0.775
H3 H 0.846 0.893 0.225
H4 H 0.893 0.846 0.725
Ru1 Ru 0.420 0.580 0.250
Ru2 Ru 0.580 0.420 0.750
Cl1 Cl 0.046 0.220 0.101
Cl2 Cl 0.194 0.605 0.376
Cl3 Cl 0.220 0.046 0.601
Cl4 Cl 0.342 0.475 0.907
Cl5 Cl 0.395 0.806 0.124
Cl6 Cl 0.475 0.342 0.407
Cl7 Cl 0.525 0.658 0.593
Cl8 Cl 0.605 0.194 0.876
Cl9 Cl 0.658 0.525 0.093
Cl10 Cl 0.780 0.954 0.399
Cl11 Cl 0.806 0.395 0.624
Cl12 Cl 0.954 0.780 0.899
```


This entry pairs a crystal structure of H6RuCl12 with its computed XRD peak list. Radiation: Cu Kα, 1.54184 Å. Structure: DFT lattice parameters and positions (GGA-PBE).
Kinematic intensities with the Lorentz-polarization factor, no thermal factor.

Largest 6 diffraction maxima, most intense first, 5 to 70 degrees two-theta:
3.258 Å, I = 100
7.806 Å, I = 91
5.919 Å, I = 37
2.378 Å, I = 32
4.717 Å, I = 30
5.191 Å, I = 28

Crystal structure
```
data_H6RuCl12
_chemical_formula_sum 'H6 Ru1 Cl12'
_symmetry_space_group_name_H-M 'P 1'
_symmetry_Int_Tables_number 1
_symmetry_space_group_name_Hall 'P 1'
_cell_length_a 7.926
_cell_length_b 7.926
_cell_length_c 7.926
_cell_angle_alpha 96.63
_cell_angle_beta 96.63
_cell_angle_gamma 96.63
loop_
_atom_site_label
_atom_site_type_symbol
_atom_site_fract_x
_atom_site_fract_y
_atom_site_fract_z
H1 H 0.219 0.278 0.707
H2 H 0.278 0.707 0.219
H3 H 0.293 0.781 0.722
H4 H 0.707 0.219 0.278
H5 H 0.722 0.293 0.781
H6 H 0.781 0.722 0.293
Ru1 Ru 0.000 0.000 0.000
Cl1 Cl 0.057 0.741 0.869
Cl2 Cl 0.131 0.943 0.259
Cl3 Cl 0.165 0.353 0.577
Cl4 Cl 0.259 0.131 0.943
Cl5 Cl 0.353 0.577 0.165
Cl6 Cl 0.423 0.835 0.647
Cl7 Cl 0.577 0.165 0.353
Cl8 Cl 0.647 0.423 0.835
Cl9 Cl 0.741 0.869 0.057
Cl10 Cl 0.835 0.647 0.423
Cl11 Cl 0.869 0.057 0.741
Cl12 Cl 0.943 0.259 0.131
```


This entry pairs a crystal structure of H4RuCl2 with its computed XRD peak list. Radiation: Cu Kα, 1.54184 Å. Structure: DFT lattice parameters and positions (GGA-PBE).
Kinematic intensities with the Lorentz-polarization factor, no thermal factor.

Largest 6 diffraction maxima, most intense first, 5 to 70 degrees two-theta:
3.035 Å, I = 100
9.263 Å, I = 39
2.464 Å, I = 27
3.088 Å, I = 26
1.926 Å, I = 23
1.511 Å, I = 21

Crystal structure
```
data_H4RuCl2
_chemical_formula_sum 'H8 Ru2 Cl4'
_symmetry_space_group_name_H-M 'P 1'
_symmetry_Int_Tables_number 1
_symmetry_space_group_name_Hall 'P 1'
_cell_length_a 3.484
_cell_length_b 3.484
_cell_length_c 18.525
_cell_angle_alpha 90.00
_cell_angle_beta 90.00
_cell_angle_gamma 90.00
loop_
_atom_site_label
_atom_site_type_symbol
_atom_site_fract_x
_atom_site_fract_y
_atom_site_fract_z
H1 H 0.000 0.000 0.242
H2 H 0.000 0.000 0.758
H3 H 0.000 0.500 0.000
H4 H 0.000 0.500 0.500
H5 H 0.500 0.000 0.000
H6 H 0.500 0.000 0.500
H7 H 0.500 0.500 0.258
H8 H 0.500 0.500 0.742
Ru1 Ru 0.000 0.000 0.500
Ru2 Ru 0.500 0.500 0.000
Cl1 Cl 0.000 0.000 0.172
Cl2 Cl 0.000 0.000 0.828
Cl3 Cl 0.500 0.500 0.328
Cl4 Cl 0.500 0.500 0.672
```